# 1
The following is a calculated PXRD pattern of Ca4MgSe5. It was derived from a DFT-relaxed cell (PBE, Alexandria), using Cu Kα (λ = 1.5418 Å).
Intensities are scaled so that the largest is 100.

Peak list (10 most intense, 10° ≤ 2θ ≤ 90°, most intense first)
| d (Å) | 2theta | Rel. int. |
| --- | --- | --- |
| 2.937 | 30.44 | 100 |
| 2.077 | 43.58 | 70 |
| 1.313 | 71.88 | 28 |
| 1.696 | 54.08 | 24 |
| 3.391 | 26.28 | 22 |
| 1.199 | 80.02 | 20 |
| 1.468 | 63.33 | 11 |
| 1.771 | 51.61 | 10 |
| 1.348 | 69.79 | 4 |
| 1.130 | 85.99 | 3 |

Crystal structure
```
Ca4MgSe5
1.0
2.0769 1.1991 16.9543
-2.0769 1.1991 16.9543
0.0000 -2.3982 16.9543
Ca Mg Se
4 1 5
Direct
0.1026 0.1026 0.1026 Ca
0.2991 0.2991 0.2991 Ca
0.7009 0.7009 0.7009 Ca
0.8974 0.8974 0.8974 Ca
0.5000 0.5000 0.5000 Mg
0.0000 0.0000 0.0000 Se
0.1961 0.1961 0.1961 Se
0.4017 0.4017 0.4017 Se
0.5983 0.5983 0.5983 Se
0.8039 0.8039 0.8039 Se
```

---

# 2
The following is a calculated PXRD pattern of Ca4MgSi. It was derived from a DFT-relaxed cell (PBE, Alexandria), using Cu Kα (λ = 1.5418 Å).
Intensities are scaled so that the largest is 100.

Peak list (10 most intense, 10° ≤ 2θ ≤ 90°, most intense first)
| d (Å) | 2theta | Rel. int. |
| --- | --- | --- |
| 2.816 | 31.77 | 100 |
| 2.696 | 33.23 | 55 |
| 1.798 | 50.79 | 32 |
| 1.651 | 55.66 | 29 |
| 5.393 | 16.44 | 25 |
| 1.408 | 66.39 | 18 |
| 1.216 | 78.68 | 18 |
| 3.302 | 27.00 | 15 |
| 2.335 | 38.55 | 12 |
| 1.424 | 65.53 | 11 |

Crystal structure
```
Ca4MgSi
1.0
0.0000 4.6703 4.6703
4.6703 0.0000 4.6703
4.6703 4.6703 0.0000
Ca Mg Si
4 1 1
Direct
0.3758 0.3758 0.3758 Ca
0.3758 0.3758 0.8727 Ca
0.3758 0.8727 0.3758 Ca
0.8727 0.3758 0.3758 Ca
0.0000 0.0000 0.0000 Mg
0.7500 0.7500 0.7500 Si
```

---

# 3
The following is a calculated PXRD pattern of Ca7Mg6Si14. It was derived from a DFT-relaxed cell (PBE, Alexandria), using Cu Kα (λ = 1.5418 Å).
Intensities are scaled so that the largest is 100.

Peak list (10 most intense, 10° ≤ 2θ ≤ 90°, most intense first)
| d (Å) | 2theta | Rel. int. |
| --- | --- | --- |
| 2.565 | 34.98 | 100 |
| 2.986 | 29.92 | 50 |
| 2.241 | 40.24 | 40 |
| 1.688 | 54.36 | 25 |
| 2.105 | 42.96 | 23 |
| 1.534 | 60.32 | 22 |
| 3.366 | 26.48 | 16 |
| 1.868 | 48.76 | 14 |
| 1.302 | 72.62 | 14 |
| 1.397 | 66.98 | 11 |

Crystal structure
```
Ca7Mg6Si14
1.0
12.9385 0.0000 0.0000
-6.4693 11.2051 0.0000
0.0000 0.0000 4.2106
Ca Mg Si
7 6 14
Direct
0.0000 0.0000 0.0000 Ca
0.1862 0.3724 0.0000 Ca
0.1862 0.8138 0.0000 Ca
0.3724 0.1862 0.0000 Ca
0.6276 0.8138 0.0000 Ca
0.8138 0.1862 0.0000 Ca
0.8138 0.6276 0.0000 Ca
0.1722 0.5861 0.5000 Mg
0.4139 0.5861 0.5000 Mg
0.4139 0.8278 0.5000 Mg
0.5861 0.1722 0.5000 Mg
0.5861 0.4139 0.5000 Mg
0.8278 0.4139 0.5000 Mg
0.0000 0.1806 0.5000 Si
0.0000 0.3567 0.5000 Si
0.0000 0.6433 0.5000 Si
0.0000 0.8194 0.5000 Si
0.1806 0.0000 0.5000 Si
0.1806 0.1806 0.5000 Si
0.3333 0.6667 0.0000 Si
0.3567 0.0000 0.5000 Si
0.3567 0.3567 0.5000 Si
0.6433 0.0000 0.5000 Si
0.6433 0.6433 0.5000 Si
0.6667 0.3333 0.0000 Si
0.8194 0.0000 0.5000 Si
0.8194 0.8194 0.5000 Si
```

---

# 4
The following is a calculated PXRD pattern of CaMg2Si. It was derived from a DFT-relaxed cell (PBE, Alexandria), using Cu Kα (λ = 1.5418 Å).
Intensities are scaled so that the largest is 100.

Peak list (10 most intense, 10° ≤ 2θ ≤ 90°, most intense first)
| d (Å) | 2theta | Rel. int. |
| --- | --- | --- |
| 2.602 | 34.47 | 100 |
| 2.210 | 40.83 | 30 |
| 1.340 | 70.25 | 22 |
| 1.609 | 57.24 | 21 |
| 2.348 | 38.33 | 18 |
| 1.400 | 66.84 | 13 |
| 1.301 | 72.67 | 10 |
| 1.563 | 59.11 | 10 |
| 4.000 | 22.23 | 4 |
| 4.696 | 18.90 | 4 |

Crystal structure
```
CaMg2Si
1.0
-2.2103 2.2103 4.6964
2.2103 -2.2103 4.6964
2.2103 2.2103 -4.6964
Ca Mg Si
1 2 1
Direct
0.0000 0.0000 0.0000 Ca
0.2500 0.7500 0.5000 Mg
0.7500 0.2500 0.5000 Mg
0.5000 0.5000 0.0000 Si
```

---

# 5
The following is a calculated PXRD pattern of Ca2SmMg2. It was derived from a DFT-relaxed cell (PBE, Alexandria), using Cu Kα (λ = 1.5418 Å).
Intensities are scaled so that the largest is 100.

Peak list (10 most intense, 10° ≤ 2θ ≤ 90°, most intense first)
| d (Å) | 2theta | Rel. int. |
| --- | --- | --- |
| 2.668 | 33.60 | 100 |
| 3.821 | 23.28 | 50 |
| 2.960 | 30.20 | 50 |
| 3.726 | 23.88 | 22 |
| 3.126 | 28.55 | 21 |
| 2.317 | 38.86 | 20 |
| 1.648 | 55.77 | 19 |
| 5.745 | 15.42 | 17 |
| 2.503 | 35.88 | 17 |
| 1.566 | 58.96 | 16 |

Crystal structure
```
Ca2SmMg2
1.0
1.9341 -11.4898 0.0000
1.9341 11.4898 0.0000
0.0000 0.0000 3.7259
Ca Sm Mg
2 1 2
Direct
0.1779 0.8221 0.0000 Ca
0.8221 0.1779 0.0000 Ca
0.0000 0.0000 0.0000 Sm
0.4138 0.5862 0.5000 Mg
0.5862 0.4138 0.5000 Mg
```

---

# 6
The following is a calculated PXRD pattern of CaSmMg5. It was derived from a DFT-relaxed cell (PBE, Alexandria), using Cu Kα (λ = 1.5418 Å).
Intensities are scaled so that the largest is 100.

Peak list (10 most intense, 10° ≤ 2θ ≤ 90°, most intense first)
| d (Å) | 2theta | Rel. int. |
| --- | --- | --- |
| 4.200 | 21.15 | 100 |
| 2.743 | 32.65 | 62 |
| 2.702 | 33.16 | 60 |
| 5.403 | 16.41 | 56 |
| 2.334 | 38.57 | 39 |
| 2.644 | 33.91 | 30 |
| 1.675 | 54.80 | 27 |
| 2.840 | 31.50 | 23 |
| 2.406 | 37.38 | 21 |
| 1.420 | 65.76 | 20 |

Crystal structure
```
CaSmMg5
1.0
3.2648 -4.8113 0.0000
3.2648 4.8113 0.0000
0.0000 0.0000 6.6759
Ca Sm Mg
1 1 5
Direct
0.0000 0.0000 0.0000 Ca
0.5000 0.5000 0.5000 Sm
0.0000 0.5000 0.2540 Mg
0.0000 0.5000 0.7460 Mg
0.5000 0.0000 0.2540 Mg
0.5000 0.0000 0.7460 Mg
0.5000 0.5000 0.0000 Mg
```

---

# 7
The following is a calculated PXRD pattern of CaMgSn3. It was derived from a DFT-relaxed cell (PBE, Alexandria), using Cu Kα (λ = 1.5418 Å).
Intensities are scaled so that the largest is 100.

Peak list (10 most intense, 10° ≤ 2θ ≤ 90°, most intense first)
| d (Å) | 2theta | Rel. int. |
| --- | --- | --- |
| 2.659 | 33.71 | 100 |
| 3.062 | 29.16 | 40 |
| 1.679 | 54.66 | 26 |
| 3.527 | 25.25 | 25 |
| 2.312 | 38.95 | 24 |
| 4.250 | 20.90 | 22 |
| 2.388 | 37.66 | 21 |
| 4.624 | 19.19 | 17 |
| 2.195 | 41.13 | 16 |
| 2.227 | 40.51 | 13 |

Crystal structure
```
CaMgSn3
1.0
7.0531 -3.2498 0.0000
7.0531 3.2498 0.0000
-0.0058 0.0000 6.1248
Ca Mg Sn
2 2 6
Direct
0.1006 0.1006 0.2503 Ca
0.8994 0.8994 0.7497 Ca
0.5000 0.5000 0.0000 Mg
0.5000 0.5000 0.5000 Mg
0.1055 0.6265 0.2496 Sn
0.3163 0.3163 0.7485 Sn
0.3735 0.8945 0.7504 Sn
0.6265 0.1055 0.2496 Sn
0.6837 0.6837 0.2515 Sn
0.8945 0.3735 0.7504 Sn
```

---

# 8
The following is a calculated PXRD pattern of Ca16Mg3Sn13. It was derived from a DFT-relaxed cell (PBE, Alexandria), using Cu Kα (λ = 1.5418 Å).
Intensities are scaled so that the largest is 100.

Peak list (10 most intense, 10° ≤ 2θ ≤ 90°, most intense first)
| d (Å) | 2theta | Rel. int. |
| --- | --- | --- |
| 2.688 | 33.34 | 100 |
| 4.072 | 21.83 | 90 |
| 2.771 | 32.30 | 89 |
| 2.700 | 33.17 | 77 |
| 3.919 | 22.69 | 62 |
| 2.149 | 42.05 | 59 |
| 2.983 | 29.96 | 55 |
| 2.155 | 41.91 | 55 |
| 1.491 | 62.25 | 43 |
| 2.093 | 43.22 | 41 |

Crystal structure
```
Ca16Mg3Sn13
1.0
17.5350 0.0000 0.0000
0.0000 8.7606 3.0004
0.0000 -8.7606 3.0004
Ca Mg Sn
16 3 13
Direct
0.0987 0.1821 0.8179 Ca
0.0987 0.8179 0.1821 Ca
0.1800 0.3992 0.5998 Ca
0.1800 0.5998 0.3992 Ca
0.3157 0.1055 0.9060 Ca
0.3157 0.9060 0.1055 Ca
0.3985 0.3256 0.6895 Ca
0.3985 0.6895 0.3256 Ca
0.6015 0.3256 0.6895 Ca
0.6015 0.6895 0.3256 Ca
0.6843 0.1055 0.9060 Ca
0.6843 0.9060 0.1055 Ca
0.8200 0.3992 0.5998 Ca
0.8200 0.5998 0.3992 Ca
0.9013 0.1821 0.8179 Ca
0.9013 0.8179 0.1821 Ca
0.0000 0.2472 0.2472 Mg
0.0000 0.7478 0.7478 Mg
0.5000 0.7583 0.7583 Mg
0.0000 0.3452 0.6491 Sn
0.0000 0.6491 0.3452 Sn
0.1536 0.9967 0.9967 Sn
0.2497 0.0029 0.5036 Sn
0.2497 0.5036 0.0029 Sn
0.3458 0.5132 0.5132 Sn
0.5000 0.1596 0.8513 Sn
0.5000 0.2594 0.2594 Sn
0.5000 0.8513 0.1596 Sn
0.6542 0.5132 0.5132 Sn
0.7503 0.0029 0.5036 Sn
0.7503 0.5036 0.0029 Sn
0.8464 0.9967 0.9967 Sn
```

---

# 9
The following is a calculated PXRD pattern of Ca4MgSn3. It was derived from a DFT-relaxed cell (PBE, Alexandria), using Cu Kα (λ = 1.5418 Å).
Intensities are scaled so that the largest is 100.

Peak list (10 most intense, 10° ≤ 2θ ≤ 90°, most intense first)
| d (Å) | 2theta | Rel. int. |
| --- | --- | --- |
| 2.686 | 33.36 | 100 |
| 2.148 | 42.06 | 71 |
| 4.061 | 21.89 | 54 |
| 3.920 | 22.68 | 54 |
| 2.980 | 29.99 | 50 |
| 2.772 | 32.29 | 50 |
| 1.490 | 62.33 | 41 |
| 2.087 | 43.35 | 29 |
| 1.511 | 61.34 | 23 |
| 2.465 | 36.44 | 18 |

Crystal structure
```
Ca4MgSn3
1.0
-6.1988 6.1988 2.9819
6.1988 -6.1988 2.9819
6.1988 6.1988 -2.9819
Ca Mg Sn
8 2 6
Direct
0.0833 0.7800 0.8633 Ca
0.2200 0.0833 0.3033 Ca
0.2800 0.5833 0.8633 Ca
0.4167 0.2800 0.6967 Ca
0.5833 0.7200 0.3033 Ca
0.7200 0.4167 0.1367 Ca
0.7800 0.9167 0.6967 Ca
0.9167 0.2200 0.1367 Ca
0.2500 0.7500 0.5000 Mg
0.7500 0.2500 0.5000 Mg
0.1523 0.3477 0.5000 Sn
0.2500 0.2500 0.0000 Sn
0.3477 0.8477 0.1954 Sn
0.6523 0.1523 0.8046 Sn
0.7500 0.7500 0.0000 Sn
0.8477 0.6523 0.5000 Sn
```

---

# 10
The following is a calculated PXRD pattern of Sr4Ca10Mg. It was derived from a DFT-relaxed cell (PBE, Alexandria), using Cu Kα (λ = 1.5418 Å).
Intensities are scaled so that the largest is 100.

Peak list (10 most intense, 10° ≤ 2θ ≤ 90°, most intense first)
| d (Å) | 2theta | Rel. int. |
| --- | --- | --- |
| 3.087 | 28.92 | 100 |
| 3.468 | 25.69 | 71 |
| 4.535 | 19.57 | 52 |
| 3.250 | 27.45 | 51 |
| 3.495 | 25.49 | 49 |
| 3.735 | 23.82 | 49 |
| 2.997 | 29.81 | 38 |
| 2.157 | 41.88 | 21 |
| 1.782 | 51.25 | 20 |
| 2.210 | 40.83 | 18 |

Crystal structure
```
Sr4Ca10Mg
1.0
-5.4829 5.4829 5.9590
5.4829 -5.4829 5.9590
5.4829 5.4829 -5.9590
Sr Ca Mg
4 10 1
Direct
0.0398 0.7243 0.7641 Sr
0.2757 0.0398 0.3155 Sr
0.7243 0.9602 0.6845 Sr
0.9602 0.2757 0.2359 Sr
0.1318 0.2128 0.6716 Ca
0.2128 0.5412 0.0810 Ca
0.2500 0.7500 0.5000 Ca
0.4588 0.5398 0.6716 Ca
0.4602 0.1318 0.9190 Ca
0.5398 0.8682 0.0810 Ca
0.5412 0.4602 0.3284 Ca
0.7500 0.2500 0.5000 Ca
0.7872 0.4588 0.9190 Ca
0.8682 0.7872 0.3284 Ca
0.5000 0.5000 0.0000 Mg
```

---

# 11
The following is a calculated PXRD pattern of Sr4Ca5Mg2. It was derived from a DFT-relaxed cell (PBE, Alexandria), using Cu Kα (λ = 1.5418 Å).
Intensities are scaled so that the largest is 100.

Peak list (10 most intense, 10° ≤ 2θ ≤ 90°, most intense first)
| d (Å) | 2theta | Rel. int. |
| --- | --- | --- |
| 3.146 | 28.37 | 100 |
| 3.218 | 27.73 | 65 |
| 3.083 | 28.96 | 55 |
| 3.028 | 29.50 | 49 |
| 2.806 | 31.90 | 44 |
| 2.012 | 45.05 | 44 |
| 2.999 | 29.79 | 44 |
| 2.961 | 30.18 | 43 |
| 2.879 | 31.06 | 33 |
| 3.704 | 24.03 | 32 |

Crystal structure
```
Sr4Ca5Mg2
1.0
9.6067 0.0000 0.0000
0.0000 4.0244 0.0000
-0.8109 0.0000 12.3618
Sr Ca Mg
4 5 2
Direct
0.1635 0.0000 0.3715 Sr
0.2448 0.0000 0.9461 Sr
0.7552 0.0000 0.0539 Sr
0.8365 0.0000 0.6285 Sr
0.1914 0.5000 0.6647 Ca
0.4372 0.5000 0.1921 Ca
0.5000 0.5000 0.5000 Ca
0.5628 0.5000 0.8079 Ca
0.8086 0.5000 0.3353 Ca
0.0601 0.5000 0.1335 Mg
0.9399 0.5000 0.8665 Mg
```

---

# 12
The following is a calculated PXRD pattern of SrCa3Mg3. It was derived from a DFT-relaxed cell (PBE, Alexandria), using Cu Kα (λ = 1.5418 Å).
Intensities are scaled so that the largest is 100.

Peak list (10 most intense, 10° ≤ 2θ ≤ 90°, most intense first)
| d (Å) | 2theta | Rel. int. |
| --- | --- | --- |
| 2.796 | 32.01 | 100 |
| 2.962 | 30.17 | 30 |
| 2.697 | 33.22 | 26 |
| 3.989 | 22.29 | 26 |
| 1.676 | 54.76 | 17 |
| 3.920 | 22.68 | 15 |
| 3.442 | 25.89 | 14 |
| 1.994 | 45.48 | 13 |
| 1.576 | 58.57 | 11 |
| 1.705 | 53.78 | 11 |

Crystal structure
```
SrCa3Mg3
1.0
5.3952 -5.9243 0.0000
5.3952 5.9243 0.0000
0.0000 0.0000 7.8398
Sr Ca Mg
2 6 6
Direct
0.2134 0.2134 0.0000 Sr
0.7866 0.7866 0.0000 Sr
0.2254 0.2254 0.5000 Ca
0.2591 0.7409 0.5000 Ca
0.2775 0.7225 0.0000 Ca
0.7225 0.2775 0.0000 Ca
0.7409 0.2591 0.5000 Ca
0.7746 0.7746 0.5000 Ca
0.0000 0.5000 0.2562 Mg
0.0000 0.5000 0.7438 Mg
0.5000 0.0000 0.2562 Mg
0.5000 0.0000 0.7438 Mg
0.5000 0.5000 0.2672 Mg
0.5000 0.5000 0.7328 Mg
```